Sm2YHoEr: calculated powder diffractogram (Cu Ka), based on a cell relaxed with GGA-PBE.

Crystal structure
```
Sm2YHoEr
1.0
4.178 -5.763 0.000
4.178 5.763 0.000
0.000 0.000 7.218
Sm Y Ho Er
4 2 2 2
Direct
0.193 0.193 0.000
0.193 0.193 0.500
0.807 0.807 0.000
0.807 0.807 0.500
0.240 0.760 0.750
0.760 0.240 0.250
0.477 0.523 0.250
0.523 0.477 0.750
0.212 0.788 0.250
0.788 0.212 0.750
```

Peak list (10 most intense, 10 to 90 degrees two-theta, most intense first)
- 2θ = 32.79°, I 100
- 2θ = 45.77°, I 57
- 2θ = 35.79°, I 54
- 2θ = 31.03°, I 53
- 2θ = 39.99°, I 52
- 2θ = 29.20°, I 47
- 2θ = 26.35°, I 40
- 2θ = 15.37°, I 35
- 2θ = 28.02°, I 35
- 2θ = 33.09°, I 34

Pm7Te4S4: calculated powder diffractogram (Cu Ka), based on a cell relaxed with GGA-PBE.

Crystal structure
```
Pm7Te4S4
1.0
-7.545 7.545 3.561
7.545 -7.545 3.561
7.545 7.545 -3.561
Pm Te S
14 8 8
Direct
0.000 0.287 0.287
0.000 0.713 0.713
0.117 0.500 0.617
0.249 0.249 0.000
0.287 0.000 0.287
0.287 0.287 0.574
0.287 0.713 0.000
0.500 0.117 0.617
0.500 0.883 0.383
0.713 0.000 0.713
0.713 0.287 0.000
0.713 0.713 0.426
0.751 0.751 0.000
0.883 0.500 0.383
0.131 0.131 0.262
0.131 0.869 0.000
0.322 0.500 0.822
0.500 0.322 0.822
0.500 0.678 0.178
0.678 0.500 0.178
0.869 0.131 0.000
0.869 0.869 0.738
0.102 0.602 0.205
0.102 0.898 0.500
0.398 0.602 0.500
0.398 0.898 0.795
0.602 0.102 0.205
0.602 0.398 0.500
0.898 0.102 0.500
0.898 0.398 0.795
```

Peak list (10 most intense, 10 to 90 degrees two-theta, most intense first)
- 2θ = 32.21°, I 100
- 2θ = 25.01°, I 42
- 2θ = 48.81°, I 38
- 2θ = 36.69°, I 28
- 2θ = 31.34°, I 22
- 2θ = 35.69°, I 16
- 2θ = 51.31°, I 11
- 2θ = 64.10°, I 10
- 2θ = 73.52°, I 9
- 2θ = 43.88°, I 9

LaDyY3Ho: calculated powder diffractogram (Cu Ka), based on a cell relaxed with GGA-PBE.

Crystal structure
```
LaDyY3Ho
1.0
2.535 -7.635 0.000
2.535 7.635 0.000
0.000 0.000 10.162
La Dy Y Ho
2 2 6 2
Direct
0.001 0.999 0.750
0.999 0.001 0.250
0.500 0.500 0.000
0.500 0.500 0.500
0.167 0.833 0.000
0.167 0.833 0.500
0.331 0.669 0.750
0.669 0.331 0.250
0.833 0.167 0.000
0.833 0.167 0.500
0.332 0.668 0.250
0.668 0.332 0.750
```

Peak list (10 most intense, 10 to 90 degrees two-theta, most intense first)
- 2θ = 30.48°, I 100
- 2θ = 35.30°, I 34
- 2θ = 60.39°, I 28
- 2θ = 50.81°, I 24
- 2θ = 35.41°, I 17
- 2θ = 60.54°, I 14
- 2θ = 50.89°, I 12
- 2θ = 63.43°, I 12
- 2θ = 82.78°, I 11
- 2θ = 82.90°, I 6

Which formula does entry 2 have? Pm7Te4S4